No. 1
Starting from a crystal structure in Alexandria, relaxed with PBE, the X-ray diffraction stick pattern of Bi2SeS2 was computed for copper Kα.
No peak broadening, texture or thermal motion is included.

```
5
Lattice="-2.0664 2.7927 6.6738 2.0664 -2.7927 6.6738 2.0664 2.7927 -6.6738" Properties=species:S:1:pos:R:3 pbc="T T T"
Bi 0.0000 0.0000 2.1154
Bi 0.0000 0.0000 11.2322
Se 2.0664 0.0000 0.0000
S 2.0664 0.0000 4.0243
S 0.0000 2.7927 2.6495
```

The 10 most intense peaks (5 to 70 degrees two-theta), low angle first:
2θ/deg  Rel. int.
13.3  22.7
17.2  96.6
25.6  34.5
26.8  29.3
29.5  100.0
30.0  24.4
32.0  42.8
38.2  47.5
44.1  67.0
61.2  23.0

---

No. 2
Starting from a crystal structure in Alexandria, relaxed with PBE, the X-ray diffraction stick pattern of Ba2Ti4Hg was computed for copper Kα.
No peak broadening, texture or thermal motion is included.

```
7
Lattice="-2.6229 2.6229 8.7341 2.6229 -2.6229 8.7341 2.6229 2.6229 -8.7341" Properties=species:S:1:pos:R:3 pbc="T T T"
Ba 0.0000 0.0000 2.4879
Ba 0.0000 0.0000 14.9802
Ti 2.6229 0.0000 0.0000
Ti 0.0000 0.0000 6.0928
Ti 0.0000 2.6229 0.0000
Ti 0.0000 0.0000 11.3754
Hg 0.0000 0.0000 8.7341
```

The 10 most intense peaks (5 to 70 degrees two-theta), low angle first:
2θ/deg  Rel. int.
10.1  56.7
22.8  100.0
24.0  81.6
30.7  58.4
34.2  65.9
39.3  25.1
41.5  43.6
46.6  54.7
49.1  23.0
59.1  22.1

---

No. 3
Starting from a crystal structure in Alexandria, relaxed with PBE, the X-ray diffraction stick pattern of NaZn6Si2 was computed for copper Kα.
No peak broadening, texture or thermal motion is included.

```
9
Lattice="4.0933 0.0000 0.0000 0.0000 4.0933 0.0000 0.0000 0.0000 8.9843" Properties=species:S:1:pos:R:3 pbc="T T T"
Na 0.0000 0.0000 0.0000
Zn 0.0000 0.0000 4.4921
Zn 0.0000 2.0467 2.6292
Zn 0.0000 2.0467 6.3551
Zn 2.0467 0.0000 2.6292
Zn 2.0467 0.0000 6.3551
Zn 2.0467 2.0467 4.4921
Si 2.0467 2.0467 1.1866
Si 2.0467 2.0467 7.7977
```

The 10 most intense peaks (5 to 70 degrees two-theta), low angle first:
2θ/deg  Rel. int.
9.8  76.9
36.9  100.0
40.1  7.3
43.5  51.1
44.3  46.1
45.5  8.0
50.8  10.7
61.3  7.8
64.4  14.2
69.6  15.6

---

No. 4
Starting from a crystal structure in Alexandria, relaxed with PBE, the X-ray diffraction stick pattern of La2Nd6Sm was computed for copper Kα.
No peak broadening, texture or thermal motion is included.

```
9
Lattice="3.6814 0.0000 0.0000 -1.8407 3.1882 0.0000 0.0000 0.0000 27.5477" Properties=species:S:1:pos:R:3 pbc="T T T"
La 0.0000 0.0000 4.6752
La 0.0000 0.0000 22.8725
Nd 0.0000 0.0000 10.7997
Nd 0.0000 0.0000 16.7480
Nd 1.8407 1.0627 1.7058
Nd 1.8407 1.0627 7.8190
Nd 1.8407 1.0627 19.7287
Nd 1.8407 1.0627 25.8419
Sm 1.8407 1.0627 13.7739
```

The 10 most intense peaks (5 to 70 degrees two-theta), low angle first:
2θ/deg  Rel. int.
28.0  46.9
29.2  50.0
29.7  10.9
30.9  65.7
32.4  100.0
40.9  31.3
49.5  37.2
54.8  30.7
58.5  42.0
60.5  23.2

---

No. 5
Starting from a crystal structure in Alexandria, relaxed with PBE, the X-ray diffraction stick pattern of K2PrI6 was computed for copper Kα.
No peak broadening, texture or thermal motion is included.

```
9
Lattice="4.9372 0.0000 0.0000 0.0000 8.1293 4.5881 0.0000 -8.1293 4.5881" Properties=species:S:1:pos:R:3 pbc="T T T"
K 0.0000 -5.3691 4.5881
K 0.0000 5.3691 4.5881
Pr 2.4686 0.0000 4.6698
I 0.0000 -1.9345 3.5165
I 0.0000 1.9345 3.5165
I 0.0000 0.0000 6.9077
I 2.4686 0.0000 1.2967
I 2.4686 -3.0061 6.2870
I 2.4686 3.0061 6.2870
```

The 10 most intense peaks (5 to 70 degrees two-theta), low angle first:
2θ/deg  Rel. int.
10.9  24.6
11.1  47.8
26.3  100.0
26.5  56.5
28.4  23.7
28.7  44.7
33.6  38.9
34.4  25.2
36.4  34.7
50.4  24.1

---

No. 6
Starting from a crystal structure in Alexandria, relaxed with PBE, the X-ray diffraction stick pattern of TbNdCd4 was computed for copper Kα.
No peak broadening, texture or thermal motion is included.

```
6
Lattice="3.4470 0.0000 0.0000 0.0000 5.0410 0.0000 0.0000 0.0000 8.7271" Properties=species:S:1:pos:R:3 pbc="T T T"
Tb 0.0000 0.0000 0.0000
Nd 0.0000 2.5205 4.3635
Cd 1.7235 0.0000 2.8777
Cd 1.7235 0.0000 5.8493
Cd 1.7235 2.5205 1.4281
Cd 1.7235 2.5205 7.2990
```

The 10 most intense peaks (5 to 70 degrees two-theta), low angle first:
2θ/deg  Rel. int.
20.3  3.0
25.8  2.9
33.1  100.0
35.6  84.0
44.5  3.6
49.4  31.9
53.1  8.7
62.4  31.2
64.0  14.6
65.6  27.1

---

No. 7
Starting from a crystal structure in Alexandria, relaxed with PBE, the X-ray diffraction stick pattern of Na3Cd2Br7 was computed for copper Kα.
No peak broadening, texture or thermal motion is included.

```
24
Lattice="12.4753 -3.6399 0.0000 12.4753 3.6399 0.0000 0.0000 0.0000 7.7521" Properties=species:S:1:pos:R:3 pbc="T T T"
Na 7.7424 1.8565 5.3527
Na 12.4753 2.0187 3.8761
Na 17.2083 1.8565 5.3527
Na 7.7424 -1.8565 1.4766
Na 12.4753 -2.0187 0.0000
Na 17.2083 -1.8565 1.4766
Cd 9.8513 1.8364 0.7444
Cd 15.0994 1.8364 0.7444
Cd 9.8513 -1.8364 4.6204
Cd 15.0994 -1.8364 4.6204
Br 1.8777 0.5168 2.1329
Br 5.1740 0.8880 4.2482
Br 1.8777 -0.5168 6.0090
Br 9.1204 0.4495 3.0996
Br 5.1740 -0.8880 0.3721
Br 12.4753 0.8291 1.0935
Br 9.1204 -0.4495 6.9757
Br 15.8302 0.4495 3.0996
Br 12.4753 -0.8291 4.9696
Br 19.7767 0.8880 4.2482
Br 15.8302 -0.4495 6.9757
Br 23.0730 0.5168 2.1329
Br 19.7767 -0.8880 0.3721
Br 23.0730 -0.5168 6.0090
```

The 10 most intense peaks (5 to 70 degrees two-theta), low angle first:
2θ/deg  Rel. int.
14.2  50.2
17.1  90.7
27.1  43.9
27.9  85.6
28.0  51.9
28.2  45.2
36.6  46.3
36.8  39.4
37.1  50.1
43.1  100.0

---

No. 8
Starting from a crystal structure in Alexandria, relaxed with PBE, the X-ray diffraction stick pattern of CaNd5In3 was computed for copper Kα.
No peak broadening, texture or thermal motion is included.

```
18
Lattice="9.6314 0.0000 0.0000 -4.8157 8.3411 0.0000 0.0000 0.0000 6.9385" Properties=species:S:1:pos:R:3 pbc="T T T"
Ca 0.0000 0.0000 0.0000
Ca 0.0000 0.0000 3.4693
Nd -1.6128 2.7935 1.7346
Nd -3.2029 5.5475 5.2039
Nd 0.0000 5.5607 0.0000
Nd 0.0000 5.5607 3.4693
Nd 3.2257 0.0000 1.7346
Nd 1.6128 2.7935 5.2039
Nd 6.4057 0.0000 5.2039
Nd 3.2029 5.5475 1.7346
Nd 4.8157 2.7803 0.0000
Nd 4.8157 2.7803 3.4693
In -1.5969 2.7660 5.2039
In -3.2188 5.5751 1.7346
In 3.1939 0.0000 5.2039
In 1.5969 2.7660 1.7346
In 6.4375 0.0000 1.7346
In 3.2188 5.5751 5.2039
```

The 10 most intense peaks (5 to 70 degrees two-theta), low angle first:
2θ/deg  Rel. int.
10.6  10.4
25.7  9.8
31.8  87.0
32.2  100.0
41.6  16.2
45.9  31.2
57.1  32.1
57.4  18.8
63.2  28.1
67.4  11.5

---

No. 9
Starting from a crystal structure in Alexandria, relaxed with PBE, the X-ray diffraction stick pattern of TaNiTe5 was computed for copper Kα.
No peak broadening, texture or thermal motion is included.

```
14
Lattice="1.8547 -6.9734 0.0000 1.8547 6.9734 0.0000 0.0000 0.0000 15.2565" Properties=species:S:1:pos:R:3 pbc="T T T"
Ta 1.8547 6.8743 11.4424
Ta 1.8547 -6.8743 3.8141
Ni 1.8547 0.0000 0.0000
Ni 1.8547 0.0000 7.6282
Te 1.8547 5.6025 8.7884
Te 1.8547 5.6025 14.0963
Te 1.8547 2.2613 3.8141
Te 1.8547 1.3896 9.8402
Te 1.8547 1.3896 13.0445
Te 1.8547 -1.3896 2.2119
Te 1.8547 -1.3896 5.4163
Te 1.8547 -2.2613 11.4424
Te 1.8547 -5.6025 1.1602
Te 1.8547 -5.6025 6.4681
```

The 10 most intense peaks (5 to 70 degrees two-theta), low angle first:
2θ/deg  Rel. int.
12.7  100.0
30.5  37.2
31.4  37.2
32.0  49.8
33.1  61.1
34.9  24.3
35.6  27.7
42.2  27.3
43.6  40.8
45.7  25.2

---

No. 10
Starting from a crystal structure in Alexandria, relaxed with PBE, the X-ray diffraction stick pattern of NbPd2Pt2Rh2 was computed for copper Kα.
No peak broadening, texture or thermal motion is included.

```
7
Lattice="6.7289 -1.3706 0.0000 6.7289 1.3706 0.0000 -3.5739 0.0000 5.9737" Properties=species:S:1:pos:R:3 pbc="T T T"
Nb 0.0000 0.0000 0.0000
Pd 1.1671 0.0000 4.1673
Pd 8.7168 0.0000 1.8064
Pt 3.7381 0.0000 3.5293
Pt 6.1457 0.0000 2.4444
Rh 4.2022 0.0000 0.7556
Rh 5.6817 0.0000 5.2181
```

The 10 most intense peaks (5 to 70 degrees two-theta), low angle first:
2θ/deg  Rel. int.
14.8  29.7
33.6  62.8
38.6  91.6
39.7  100.0
40.5  84.6
41.2  83.5
42.7  44.7
47.6  51.5
48.4  30.5
48.5  31.8

---

No. 11
Starting from a crystal structure in Alexandria, relaxed with PBE, the X-ray diffraction stick pattern of BeCr5 was computed for copper Kα.
No peak broadening, texture or thermal motion is included.

```
6
Lattice="4.2948 0.0000 0.0000 -2.1474 3.7194 0.0000 0.0000 0.0000 4.2221" Properties=species:S:1:pos:R:3 pbc="T T T"
Be 0.0000 0.0000 0.0000
Cr -1.4486 2.5091 2.1111
Cr 0.6988 1.2103 2.1111
Cr 0.0000 2.4796 0.0000
Cr 2.1474 1.2398 0.0000
Cr 2.8972 0.0000 2.1111
```

The 10 most intense peaks (5 to 70 degrees two-theta), low angle first:
2θ/deg  Rel. int.
21.0  6.3
23.9  11.3
32.1  15.8
42.1  26.5
42.8  30.8
47.5  100.0
49.0  2.6
49.7  2.8
61.6  15.0
67.1  1.7

---

No. 12
Starting from a crystal structure in Alexandria, relaxed with PBE, the X-ray diffraction stick pattern of La5Pm2Pr was computed for copper Kα.
No peak broadening, texture or thermal motion is included.

```
32
Lattice="11.9380 -3.2825 0.0000 11.9380 3.2825 0.0000 -10.4263 0.0000 14.8252" Properties=species:S:1:pos:R:3 pbc="T T T"
La 4.7668 2.9196 9.4812
La 3.4696 2.9196 12.7565
La 0.5185 0.2210 4.9988
La -1.0753 0.9064 11.6561
La -4.6947 -0.2210 12.4114
La 2.7838 0.5302 7.8456
La 0.4014 1.0962 14.6971
La 7.8350 1.0962 7.5406
La 7.9970 -0.5302 0.4330
La 4.1379 -0.9064 4.2435
La 9.3117 0.9064 10.5816
La 5.4526 0.5302 14.3921
La 5.6146 -1.0962 7.2845
La 13.0482 -1.0962 0.1280
La 10.6658 -0.5302 6.9796
La 18.1443 0.2210 2.4138
La 14.5249 -0.9064 3.1691
La 12.9311 -0.2210 9.8264
La 9.9800 -2.9196 2.0686
La 8.6828 -2.9196 5.3439
Pm 4.6880 0.5699 0.8969
Pm -0.5252 -0.5699 8.3094
Pm 7.5415 0.3310 3.8617
Pm 2.3283 -0.3310 11.2743
Pm 11.1213 0.3310 3.5509
Pm 5.9081 -0.3310 10.9635
Pm 13.9748 0.5699 6.5157
Pm 8.7616 -0.5699 13.9283
Pr 5.1652 2.3304 5.6718
Pr 13.4976 2.3304 1.7408
Pr -0.0480 -2.3304 13.0844
Pr 8.2844 -2.3304 9.1533
```

The 10 most intense peaks (5 to 70 degrees two-theta), low angle first:
2θ/deg  Rel. int.
29.0  12.1
30.1  31.4
30.2  100.0
30.3  36.0
31.0  15.6
31.4  14.7
32.0  28.9
49.9  9.4
53.8  17.1
60.0  10.9